Diffraction record for Rb3TaF6. The XRD peak list is calculated, not measured: it uses a GGA-PBE-relaxed structure and CuKα.
No peak broadening, texture or thermal motion is included.

Structure:
a = 9.542 Å, b = 9.542 Å, c = 9.542 Å
α = 90.00°, β = 90.00°, γ = 90.00°
Space group Fm-3m (No. 225)
Inequivalent atoms, fractional coordinates:
Rb: 0.000 0.000 0.000 x4
Rb: 0.250 0.250 0.250 x8
Ta: 0.000 0.000 0.500 x4
F: 0.000 0.000 0.282 x24

The 10 most intense peaks (2θ from 5° to 70°), by intensity:
| hkl | 2θ/deg | intensity |
| --- | --- | --- |
| 2 2 0 | 26.42 | 100 |
| 4 2 2 | 46.63 | 41 |
| 4 0 0 | 37.71 | 35 |
| 4 4 0 | 54.39 | 22 |
| 6 2 0 | 61.46 | 21 |
| 1 1 1 | 16.09 | 17 |
| 2 0 0 | 18.60 | 13 |
| 4 4 4 | 68.08 | 7 |
| 3 1 1 | 31.09 | 6 |
| 4 2 0 | 42.36 | 5 |